Theoretical powder diffractogram of Ba2FeO5 for Cu Kα (weighted mean of Kα1 and Kα2), from a PBE+U-relaxed structure.
No peak broadening, texture or thermal motion is included.

Main lines, most intense first (2θ from 15° to 90°):
two_theta	d/Å	I_rel
31.1	2.878	100
37.8	2.380	49
29.9	2.992	46
21.0	4.231	46
53.8	1.704	39
42.7	2.115	33
18.6	4.759	25
64.8	1.439	16
56.0	1.641	16
22.6	3.926	14

```
data_Ba2FeO5
_chemical_formula_sum 'Ba2 Fe1 O5'
_symmetry_space_group_name_H-M 'P 1'
_symmetry_Int_Tables_number 1
_cell_length_a 5.772
_cell_length_b 5.772
_cell_length_c 5.772
_cell_angle_alpha 117.56
_cell_angle_beta 117.56
_cell_angle_gamma 94.28
loop_
_symmetry_equiv_pos_as_xyz
'x,y,z'
loop_
_atom_site_label
_atom_site_fract_x
_atom_site_fract_y
_atom_site_fract_z
Ba1 0.000 0.500 0.500
Ba2 0.500 0.000 0.500
Fe1 0.225 0.225 0.000
O1 0.005 0.005 0.000
O2 0.057 0.057 0.577
O3 0.057 0.479 0.000
O4 0.479 0.057 0.000
O5 0.479 0.479 0.423
```